Entry 1:
Starting from a GGA-PBE-relaxed structure, the X-ray powder pattern of PrTm2Pt2 was simulated for Cu Kα (λ = 1.5418 Å).
Neutral-atom scattering factors, no anomalous dispersion.

Crystal structure
Lattice parameters (Å, degrees): 5.3738 4.6749 10.3924 90.00 95.82 90.00
Atoms (fractional coordinates):
1 Pr 0.0917 0.2500 0.2781
2 Pr 0.9083 0.7500 0.7219
3 Tm 0.2717 0.7500 0.0246
4 Tm 0.3701 0.2500 0.6124
5 Tm 0.6299 0.7500 0.3876
6 Tm 0.7283 0.2500 0.9754
7 Pt 0.1608 0.7500 0.4746
8 Pt 0.2062 0.2500 0.8688
9 Pt 0.7938 0.7500 0.1312
10 Pt 0.8392 0.2500 0.5254

Most intense lines, 2θ from 5° to 70°, in order of rising 2θ:
d [Å]	2θ (°)	Rel. int.
5.169	17.15	35
2.823	31.70	100
2.774	32.27	96
2.479	36.23	50
2.337	38.52	73
2.223	40.59	65
2.190	41.22	31
2.153	41.97	62
1.866	48.81	32
1.701	53.91	32

=====

Entry 2:
Starting from a GGA-PBE-relaxed structure, the X-ray powder pattern of PrUPt was simulated for Cu Kα (λ = 1.5418 Å).
Neutral-atom scattering factors, no anomalous dispersion.

Crystal structure
Lattice parameters (Å, degrees): 9.8670 8.4772 7.2490 77.28 56.94 45.78
Atoms (fractional coordinates):
1 Pr 0.0094 0.0094 0.2406
2 Pr 0.2406 0.2406 0.0094
3 Pr 0.7594 0.7594 0.9906
4 Pr 0.9906 0.9906 0.7594
5 U 0.2464 0.2464 0.5036
6 U 0.4964 0.4964 0.7536
7 U 0.5036 0.5036 0.2464
8 U 0.7536 0.7536 0.4964
9 Pt 0.2117 0.5383 0.2117
10 Pt 0.4617 0.7883 0.4617
11 Pt 0.5383 0.2117 0.5383
12 Pt 0.7883 0.4617 0.7883

Most intense lines, 2θ from 5° to 70°, in order of rising 2θ:
d [Å]	2θ (°)	Rel. int.
5.855	15.13	45
3.314	26.91	22
3.169	28.16	39
2.953	30.27	32
2.439	36.85	100
2.418	37.19	53
1.909	47.62	17
1.839	49.57	17
1.812	50.36	32
1.464	63.57	23

=====

Entry 3:
Starting from a GGA-PBE-relaxed structure, the X-ray powder pattern of Pr2YPt9 was simulated for Cu Kα (λ = 1.5418 Å).
Neutral-atom scattering factors, no anomalous dispersion.

Crystal structure
Lattice parameters (Å, degrees): 9.5091 9.5091 9.5091 33.35 33.35 33.35
Atoms (fractional coordinates):
1 Pr 0.1387 0.1387 0.1387
2 Pr 0.8613 0.8613 0.8613
3 Y 0.0000 0.0000 0.0000
4 Pt 0.0805 0.5854 0.5854
5 Pt 0.3330 0.3330 0.3330
6 Pt 0.4146 0.4146 0.9195
7 Pt 0.4146 0.9195 0.4146
8 Pt 0.5000 0.5000 0.5000
9 Pt 0.5854 0.0805 0.5854
10 Pt 0.5854 0.5854 0.0805
11 Pt 0.6670 0.6670 0.6670
12 Pt 0.9195 0.4146 0.4146

Most intense lines, 2θ from 5° to 70°, in order of rising 2θ:
d [Å]	2θ (°)	Rel. int.
4.654	19.07	33
2.354	38.24	25
2.331	38.63	100
2.243	40.20	26
2.229	40.46	16
2.173	41.56	21
2.164	41.75	49
2.013	45.03	23
1.486	62.49	23
1.364	68.82	26